For SmYZr2Bi2, a GGA-PBE-relaxed structure gives the simulated XRD peak list in this record (Cu Kα, 1.54184 Å).

Top 10 peaks for 10° ≤ 2θ ≤ 80°, most intense first:
- 36.02°, d = 2.493 Å, I 100
- 41.55°, d = 2.173 Å, I 55
- 30.93°, d = 2.892 Å, I 49
- 29.05°, d = 3.074 Å, I 44
- 33.39°, d = 2.683 Å, I 44
- 21.09°, d = 4.212 Å, I 27
- 72.21°, d = 1.308 Å, I 27
- 31.47°, d = 2.843 Å, I 23
- 54.32°, d = 1.689 Å, I 22
- 53.04°, d = 1.727 Å, I 21

Atomic structure:
```
data_SmYZr2Bi2
_cell_length_a 4.347
_cell_length_b 4.347
_cell_length_c 17.056
_cell_angle_alpha 90.00
_cell_angle_beta 90.00
_cell_angle_gamma 90.00
_space_group_name_H-M_alt 'P 1'
_space_group_IT_number 1
_space_group_name_Hall 'P 1'
loop_
_atom_site_label
_atom_site_type_symbol
_atom_site_fract_x
_atom_site_fract_y
_atom_site_fract_z
Sm1 Sm 0.000 0.000 0.000
Sm2 Sm 0.500 0.500 0.500
Y1 Y 0.000 0.000 0.647
Y2 Y 0.500 0.500 0.147
Zr1 Zr 0.000 0.500 0.322
Zr2 Zr 0.000 0.500 0.822
Zr3 Zr 0.500 0.000 0.322
Zr4 Zr 0.500 0.000 0.822
Bi1 Bi 0.000 0.000 0.189
Bi2 Bi 0.000 0.000 0.455
Bi3 Bi 0.500 0.500 0.689
Bi4 Bi 0.500 0.500 0.955
```